(1)
VCdPS2: theoretical powder diffraction line list (λ = 1.5418 Å (Cu Kα)), based on a structure optimized by DFT (GGA-PBE).
Lines closer than 0.1° are merged.

```
VCdPS2
1.0
4.5194 0.0000 0.0000
0.0000 4.5194 0.0000
0.0000 0.0000 4.8236
V Cd P S
1 1 1 2
Cartesian
0.0000 0.0000 0.0000 V
2.2597 2.2597 2.4118 Cd
0.0000 0.0000 2.4118 P
0.0000 2.2597 0.0000 S
2.2597 0.0000 0.0000 S
```

Main lines, in order of rising 2θ (10 to 90 degrees two-theta):
2θ (°)  I/Imax
27.04  100.0
27.92  42.6
33.64  81.6
37.28  39.9
39.89  65.1
47.21  20.0
48.86  38.0
55.74  45.6
57.69  20.4
70.73  21.7

(2)
Pm8Pr4Nd: theoretical powder diffraction line list (λ = 1.5418 Å (Cu Kα)), based on a structure optimized by DFT (GGA-PBE).
Lines closer than 0.1° are merged.

```
Pm8Pr4Nd
1.0
6.6357 -5.9820 0.0000
6.6357 5.9820 0.0000
-2.9390 0.0000 5.9227
Pm Pr Nd
8 4 1
Cartesian
1.6386 0.0000 0.5173 Pm
3.4843 3.0584 3.9736 Pm
1.5273 0.0000 3.8727 Pm
6.8481 3.0584 1.9491 Pm
3.4843 -3.0584 3.9736 Pm
8.8052 0.0000 2.0500 Pm
6.8481 -3.0584 1.9491 Pm
8.6939 0.0000 5.4054 Pm
-1.4695 0.0000 2.9614 Pr
3.3179 2.9910 0.0000 Pr
3.3179 -2.9910 0.0000 Pr
5.1662 0.0000 2.9614 Pr
6.6357 0.0000 0.0000 Nd
```

Main lines, in order of rising 2θ (10 to 90 degrees two-theta):
2θ (°)  I/Imax
25.52  19.8
29.63  10.1
29.87  41.1
30.91  100.0
33.17  9.0
39.68  12.2
48.39  8.6
48.53  9.7
53.68  20.8
58.02  8.8

(3)
Be8Nb3Fe: theoretical powder diffraction line list (λ = 1.5418 Å (Cu Kα)), based on a structure optimized by DFT (GGA-PBE).
Lines closer than 0.1° are merged.

```
Be8Nb3Fe
1.0
2.2534 1.3010 7.3749
-2.2534 1.3010 7.3749
0.0000 -2.6020 7.3749
Be Nb Fe
8 3 1
Cartesian
0.0000 0.0000 0.0000 Be
0.0000 -1.3054 9.1916 Be
-1.1305 0.6527 9.1916 Be
-1.1276 -0.6510 12.9357 Be
0.0000 0.0000 11.0655 Be
1.1305 0.6527 9.1916 Be
1.1276 -0.6510 12.9357 Be
0.0000 1.3020 12.9357 Be
0.0000 0.0000 4.2689 Nb
0.0000 0.0000 15.1377 Nb
0.0000 0.0000 17.9599 Nb
0.0000 0.0000 6.9068 Fe
```

Main lines, in order of rising 2θ (10 to 90 degrees two-theta):
2θ (°)  I/Imax
24.17  100.0
39.98  95.6
47.27  70.2
57.83  11.5
63.55  8.9
63.63  9.9
72.52  7.0
72.65  22.9
77.84  15.5
86.35  6.5

(4)
La2MgPd3: theoretical powder diffraction line list (λ = 1.5418 Å (Cu Kα)), based on a structure optimized by DFT (GGA-PBE).
Lines closer than 0.1° are merged.

```
La2MgPd3
1.0
-2.2599 2.8555 5.5919
2.2599 -2.8555 5.5919
2.2599 2.8555 -5.5919
La Mg Pd
2 1 3
Cartesian
0.0000 0.0000 1.9794 La
0.0000 0.0000 9.2045 La
0.0000 0.0000 5.5919 Mg
2.2599 0.0000 0.0000 Pd
2.2599 0.0000 4.1399 Pd
0.0000 2.8555 1.4520 Pd
```

Main lines, in order of rising 2θ (10 to 90 degrees two-theta):
2θ (°)  I/Imax
29.85  38.1
31.10  100.0
31.33  59.0
39.89  30.4
43.45  21.1
44.72  72.6
51.58  28.6
60.45  15.7
74.15  16.7
75.82  15.1

(5)
AcPm7Er12: theoretical powder diffraction line list (λ = 1.5418 Å (Cu Kα)), based on a structure optimized by DFT (GGA-PBE).
Lines closer than 0.1° are merged.

```
AcPm7Er12
1.0
-5.6461 5.6461 5.6461
5.6461 -5.6461 5.6461
5.6461 5.6461 -5.6461
Ac Pm Er
1 7 12
Cartesian
0.0000 0.0000 0.0000 Ac
2.8230 2.8230 -2.8230 Pm
2.8230 -2.8230 2.8230 Pm
5.6461 0.0000 0.0000 Pm
-2.8230 2.8230 2.8230 Pm
0.0000 5.6461 0.0000 Pm
0.0000 0.0000 5.6461 Pm
2.8230 2.8230 2.8230 Pm
5.6461 2.7606 -2.7606 Er
5.6461 -2.7606 2.7606 Er
2.7606 5.6461 -2.7606 Er
2.8855 2.8855 0.0000 Er
2.8855 0.0000 2.8855 Er
2.7606 -2.7606 5.6461 Er
5.6461 2.7606 2.7606 Er
0.0000 2.8855 2.8855 Er
-2.7606 5.6461 2.7606 Er
-2.7606 2.7606 5.6461 Er
2.7606 5.6461 2.7606 Er
2.7606 2.7606 5.6461 Er
```

Main lines, in order of rising 2θ (10 to 90 degrees two-theta):
2θ (°)  I/Imax
15.70  18.1
22.27  16.3
27.36  78.5
31.70  100.0
45.44  73.8
53.85  35.8
56.46  25.8
73.05  14.1
75.27  32.6
83.97  24.7

(6)
Ac6In3Ni: theoretical powder diffraction line list (λ = 1.5418 Å (Cu Kα)), based on a structure optimized by DFT (GGA-PBE).
Lines closer than 0.1° are merged.

```
Ac6In3Ni
1.0
6.3895 3.6890 5.3149
-6.3895 3.6890 5.3149
0.0000 -7.3779 5.3149
Ac In Ni
12 6 2
Cartesian
-4.3303 -2.5001 8.9269 Ac
-1.8684 -1.0787 6.1004 Ac
0.0000 -5.0002 7.0178 Ac
-4.3303 2.5001 7.0178 Ac
1.8684 -1.0787 6.1004 Ac
0.0000 2.1575 6.1004 Ac
0.0000 -2.1574 9.8444 Ac
-1.8684 1.0787 9.8444 Ac
4.3303 -2.5001 8.9269 Ac
0.0000 5.0002 8.9269 Ac
1.8684 1.0787 9.8444 Ac
4.3303 2.5001 7.0178 Ac
0.0000 -3.1405 4.0165 In
-2.7197 1.5702 4.0165 In
-2.7197 -1.5702 11.9283 In
2.7197 1.5702 4.0165 In
2.7197 -1.5702 11.9283 In
0.0000 3.1405 11.9283 In
0.0000 0.0000 0.0000 Ni
0.0000 0.0000 7.9724 Ni
```

Main lines, in order of rising 2θ (10 to 90 degrees two-theta):
2θ (°)  I/Imax
23.72  23.6
24.12  32.3
29.47  100.0
29.64  23.9
32.40  10.2
32.86  15.0
36.96  14.9
42.44  28.1
52.52  13.2
55.52  15.6

(7)
ErMgScSe4: theoretical powder diffraction line list (λ = 1.5418 Å (Cu Kα)), based on a structure optimized by DFT (GGA-PBE).
Lines closer than 0.1° are merged.

```
ErMgScSe4
1.0
-4.0177 4.0619 5.7150
4.0177 -4.0619 5.7150
4.0177 4.0619 -5.7150
Er Mg Sc Se
2 2 2 8
Cartesian
0.0000 0.0000 0.0000 Er
0.0000 4.0619 0.0000 Er
4.0177 2.0310 1.4400 Mg
0.0000 2.0310 4.2750 Mg
2.0089 2.0310 -2.8575 Sc
2.0089 -2.0310 2.8575 Sc
4.0177 3.9072 -2.8787 Se
4.0177 -0.1547 2.8787 Se
1.9592 2.0310 -0.1292 Se
2.0585 -2.0310 5.5857 Se
1.9592 6.0929 0.1292 Se
2.0585 2.0310 5.8442 Se
0.0000 4.2167 2.8362 Se
0.0000 0.1547 8.5937 Se
```

Main lines, in order of rising 2θ (10 to 90 degrees two-theta):
2θ (°)  I/Imax
13.46  54.0
25.82  44.1
31.31  100.0
41.15  13.8
44.62  14.4
44.87  57.8
45.13  14.7
55.95  12.4
65.33  13.4
74.22  19.6

(8)
Dy7InIr2: theoretical powder diffraction line list (λ = 1.5418 Å (Cu Kα)), based on a structure optimized by DFT (GGA-PBE).
Lines closer than 0.1° are merged.

```
Dy7InIr2
1.0
4.4321 -6.8368 0.0000
4.4321 6.8368 0.0000
0.0000 0.0000 5.2756
Dy In Ir
7 1 2
Cartesian
0.0000 0.0000 0.0000 Dy
2.7835 1.7731 0.0000 Dy
4.4321 3.8897 2.6378 Dy
2.7835 -1.7731 0.0000 Dy
6.0806 1.7731 0.0000 Dy
4.4321 -3.8897 2.6378 Dy
6.0806 -1.7731 0.0000 Dy
4.4321 0.0000 2.6378 In
4.4321 4.0588 0.0000 Ir
4.4321 -4.0588 0.0000 Ir
```

Main lines, in order of rising 2θ (10 to 90 degrees two-theta):
2θ (°)  I/Imax
12.95  42.8
16.81  100.0
31.18  35.4
33.09  80.6
33.99  85.5
34.32  46.2
35.43  62.2
36.23  44.8
48.17  57.4
49.05  44.2

(9)
Ir3Os2Ru6: theoretical powder diffraction line list (λ = 1.5418 Å (Cu Kα)), based on a structure optimized by DFT (GGA-PBE).
Lines closer than 0.1° are merged.

```
Ir3Os2Ru6
1.0
7.6864 0.0000 0.0000
0.0000 4.6630 0.0000
-4.2006 0.0000 9.1418
Ir Os Ru
6 4 12
Cartesian
0.0000 0.0000 0.0000 Ir
-2.1003 2.3315 4.5709 Ir
-0.7333 0.0761 4.5943 Ir
1.3670 2.2555 0.0233 Ir
2.1187 2.4076 9.1185 Ir
4.2190 4.5870 4.5476 Ir
1.7348 3.4937 4.0160 Os
-0.3655 3.5008 8.5869 Os
3.8512 1.1622 0.5549 Os
1.7509 1.1693 5.1259 Os
-0.2875 3.4023 2.2665 Ru
-2.3879 3.5923 6.8374 Ru
0.7885 1.1113 2.7201 Ru
-1.3118 1.2202 7.2910 Ru
0.1637 2.9080 6.1517 Ru
2.2640 4.0865 1.5808 Ru
1.2217 0.5765 7.5610 Ru
3.3221 1.7550 2.9901 Ru
4.7975 3.4429 1.8508 Ru
2.6972 3.5517 6.4218 Ru
5.8736 1.0708 2.3045 Ru
3.7732 1.2608 6.8754 Ru
```

Main lines, in order of rising 2θ (10 to 90 degrees two-theta):
2θ (°)  I/Imax
19.42  46.6
36.63  64.8
39.43  45.4
40.68  71.5
40.80  42.5
42.30  43.3
43.02  100.0
43.44  62.3
43.58  46.8
44.13  53.3

(10)
RbThAgTe4: theoretical powder diffraction line list (λ = 1.5418 Å (Cu Kα)), based on a structure optimized by DFT (GGA-PBE).
Lines closer than 0.1° are merged.

```
RbThAgTe4
1.0
3.1904 -9.4977 0.0000
3.1904 9.4977 0.0000
0.0000 0.0000 7.7418
Rb Th Ag Te
2 2 2 8
Cartesian
3.1904 7.7408 5.8063 Rb
3.1904 -7.7408 1.9354 Rb
3.1904 2.6228 5.8063 Th
3.1904 -2.6228 1.9354 Th
3.1904 3.1958 1.9354 Ag
3.1904 -3.1958 5.8063 Ag
1.5952 4.7488 0.0000 Te
1.5952 4.7488 3.8709 Te
3.1904 7.6503 1.9354 Te
3.1904 0.4794 1.9354 Te
1.5952 -4.7488 0.0000 Te
1.5952 -4.7488 3.8709 Te
3.1904 -0.4794 5.8063 Te
3.1904 -7.6503 5.8063 Te
```

Main lines, in order of rising 2θ (10 to 90 degrees two-theta):
2θ (°)  I/Imax
22.97  35.3
24.84  39.5
27.33  30.4
29.54  25.3
29.76  80.3
30.50  29.9
33.85  46.6
35.98  41.0
36.50  100.0
43.11  27.2

(11)
Mg3Al9Rh2: theoretical powder diffraction line list (λ = 1.5418 Å (Cu Kα)), based on a structure optimized by DFT (GGA-PBE).
Lines closer than 0.1° are merged.

```
Mg3Al9Rh2
1.0
-2.1144 5.0323 5.6854
2.1144 -5.0323 5.6854
2.1144 5.0323 -5.6854
Mg Al Rh
3 9 2
Cartesian
0.0000 0.0000 0.0000 Mg
0.0000 0.0000 3.3237 Mg
0.0000 0.0000 8.0472 Mg
2.1144 -1.3326 1.5167 Al
2.1144 -2.1412 4.1315 Al
2.1144 1.3326 1.5167 Al
0.0000 2.8912 1.5539 Al
0.0000 5.0323 0.0000 Al
2.1144 2.1412 4.1315 Al
0.0000 3.6997 4.1687 Al
0.0000 7.1735 1.5539 Al
0.0000 6.3650 4.1687 Al
2.1144 3.4284 0.0000 Rh
0.0000 1.6040 5.6854 Rh
```

Main lines, in order of rising 2θ (10 to 90 degrees two-theta):
2θ (°)  I/Imax
11.74  92.2
15.59  100.0
22.43  68.9
27.73  61.6
36.50  81.2
37.71  88.2
39.21  65.3
42.56  69.1
42.77  57.5
47.09  69.5

(12)
LiCu6Au12: theoretical powder diffraction line list (λ = 1.5418 Å (Cu Kα)), based on a structure optimized by DFT (GGA-PBE).
Lines closer than 0.1° are merged.

```
LiCu6Au12
1.0
6.1768 3.5662 2.3174
-6.1768 3.5662 2.3174
0.0000 -7.1324 2.3174
Li Cu Au
1 6 12
Cartesian
0.0000 0.0000 0.0000 Li
-1.9593 -2.6638 2.2789 Cu
-1.3273 3.0287 2.2789 Cu
-3.2866 0.3649 4.6734 Cu
3.2866 -0.3649 2.2789 Cu
1.3273 -3.0287 4.6734 Cu
1.9593 2.6638 4.6734 Cu
-3.8636 1.8452 2.3398 Au
0.3338 -4.2686 2.3398 Au
-1.6715 0.0637 2.3296 Au
-3.5298 -2.4234 4.6126 Au
0.7806 -1.4794 2.3296 Au
0.8909 1.4157 2.3296 Au
-0.8909 -1.4157 4.6227 Au
-0.7806 1.4794 4.6227 Au
3.5298 2.4234 2.3398 Au
1.6715 -0.0637 4.6227 Au
-0.3338 4.2686 4.6126 Au
3.8636 -1.8452 4.6126 Au
```

Main lines, in order of rising 2θ (10 to 90 degrees two-theta):
2θ (°)  I/Imax
20.95  9.5
24.97  7.6
25.48  10.4
34.01  4.8
38.90  100.0
45.23  48.7
65.88  31.1
79.21  27.9
79.27  9.4
83.55  8.3